1.
# LaNdTeAs
Theoretical powder X-ray diffraction pattern, a wavelength of 1.5418 Å. Input: the GGA-PBE geometry in Alexandria.
Peak positions follow from Bragg's law for the DFT cell and can differ from measured ones.

Peak list (6 most intense, 10° ≤ 2θ ≤ 90°, most intense first)
| 2theta | I_rel |
| --- | --- |
| 30.8 | 100.0 |
| 41.7 | 55.5 |
| 36.4 | 34.1 |
| 28.4 | 31.9 |
| 25.0 | 23.8 |
| 52.7 | 21.8 |

Atomic structure:
```
LaNdTeAs
1.0
4.330 0.000 0.000
-2.165 3.750 0.000
0.000 0.000 22.991
La Nd Te As
3 3 3 3
Cartesian
0.000 0.000 0.000
0.000 2.500 15.327
2.165 1.250 7.664
0.000 0.000 4.326
0.000 2.500 19.654
2.165 1.250 11.990
0.000 0.000 9.846
0.000 2.500 2.182
2.165 1.250 17.510
0.000 0.000 13.659
0.000 2.500 5.995
2.165 1.250 21.322
```



2.
# Ag6Pd3Au2
Theoretical powder X-ray diffraction pattern, a wavelength of 1.5418 Å. Input: the GGA-PBE geometry in Alexandria.
Peak positions follow from Bragg's law for the DFT cell and can differ from measured ones.

Peak list (6 most intense, 10° ≤ 2θ ≤ 90°, most intense first)
| 2theta | I_rel |
| --- | --- |
| 38.1 | 100.0 |
| 44.0 | 66.3 |
| 37.8 | 52.0 |
| 38.2 | 50.1 |
| 44.8 | 31.5 |
| 64.4 | 20.7 |

Atomic structure:
```
Ag6Pd3Au2
1.0
5.013 0.000 0.000
-0.773 6.355 0.000
-1.644 -2.153 5.918
Ag Pd Au
6 3 2
Cartesian
-0.374 2.209 1.094
-0.383 0.301 3.230
0.479 4.895 1.623
2.117 -0.693 4.295
2.980 3.901 2.689
2.970 1.993 4.825
0.479 2.954 3.778
2.120 3.178 0.000
2.117 1.248 2.140
-0.371 -1.642 5.383
2.967 5.845 0.535
```



3.
# KCd2SbF8
Theoretical powder X-ray diffraction pattern, a wavelength of 1.5418 Å. Input: the GGA-PBE geometry in Alexandria.
Peak positions follow from Bragg's law for the DFT cell and can differ from measured ones.

Peak list (6 most intense, 10° ≤ 2θ ≤ 90°, most intense first)
| 2theta | I_rel |
| --- | --- |
| 27.0 | 100.0 |
| 27.7 | 95.6 |
| 45.3 | 44.1 |
| 45.4 | 43.7 |
| 54.6 | 26.6 |
| 44.6 | 24.2 |

Atomic structure:
```
KCd2SbF8
1.0
4.064 0.000 0.000
0.000 7.799 0.000
-0.020 0.000 5.684
K Cd Sb F
1 2 1 8
Cartesian
0.000 0.000 0.000
2.022 1.874 2.842
2.022 5.926 2.842
0.000 3.900 0.000
-0.002 2.205 1.492
-0.002 5.595 1.492
2.011 0.000 4.125
2.015 3.900 4.342
2.030 3.900 1.342
2.033 0.000 1.559
4.047 2.205 4.192
4.047 5.595 4.192
```



4.
# Ac2SnP2N6
Theoretical powder X-ray diffraction pattern, a wavelength of 1.5418 Å. Input: the GGA-PBE geometry in Alexandria.
Peak positions follow from Bragg's law for the DFT cell and can differ from measured ones.

Peak list (6 most intense, 10° ≤ 2θ ≤ 90°, most intense first)
| 2theta | I_rel |
| --- | --- |
| 23.3 | 100.0 |
| 31.8 | 74.5 |
| 34.6 | 70.5 |
| 39.8 | 37.9 |
| 58.5 | 30.9 |
| 47.7 | 29.5 |

Atomic structure:
```
Ac2SnP2N6
1.0
5.622 0.000 0.000
-2.811 4.868 0.000
0.000 0.000 6.128
Ac Sn P N
2 1 2 6
Cartesian
0.000 3.246 2.089
2.811 1.623 4.039
0.000 0.000 0.000
0.000 3.246 5.205
2.811 1.623 0.923
-0.212 1.703 4.701
-1.230 4.200 4.701
1.369 1.035 1.427
1.442 3.833 4.701
4.041 0.668 1.427
3.023 3.165 1.427
```



5.
# Nd6Tm3Cd
Theoretical powder X-ray diffraction pattern, a wavelength of 1.5418 Å. Input: the GGA-PBE geometry in Alexandria.
Peak positions follow from Bragg's law for the DFT cell and can differ from measured ones.

Peak list (6 most intense, 10° ≤ 2θ ≤ 90°, most intense first)
| 2theta | I_rel |
| --- | --- |
| 30.6 | 100.0 |
| 35.1 | 17.5 |
| 35.0 | 17.4 |
| 36.4 | 15.6 |
| 60.3 | 14.6 |
| 60.1 | 14.2 |

Atomic structure:
```
Nd6Tm3Cd
1.0
11.125 0.000 0.000
0.000 5.106 0.000
-0.357 0.000 11.367
Nd Tm Cd
12 6 2
Cartesian
0.381 1.277 4.481
1.525 3.830 2.135
1.463 1.277 7.865
2.328 1.277 11.322
3.588 3.830 9.086
4.796 1.277 6.843
5.973 3.830 4.524
7.180 1.277 2.281
8.441 3.830 0.045
9.306 3.830 3.502
9.244 1.277 9.232
10.388 3.830 6.886
2.592 3.830 5.602
3.774 1.277 3.350
4.969 3.830 1.132
5.799 1.277 10.235
6.995 3.830 8.017
8.177 1.277 5.765
0.234 3.830 10.205
10.535 1.277 1.162
```



6.
# BaDyC3N6
Theoretical powder X-ray diffraction pattern, a wavelength of 1.5418 Å. Input: the GGA-PBE geometry in Alexandria.
Peak positions follow from Bragg's law for the DFT cell and can differ from measured ones.

Peak list (6 most intense, 10° ≤ 2θ ≤ 90°, most intense first)
| 2theta | I_rel |
| --- | --- |
| 17.0 | 100.0 |
| 31.1 | 33.4 |
| 35.7 | 30.9 |
| 43.6 | 23.3 |
| 25.9 | 22.7 |
| 34.4 | 19.6 |

Atomic structure:
```
BaDyC3N6
1.0
5.212 3.009 2.481
-5.212 3.009 2.481
0.000 -6.018 2.481
Ba Dy C N
1 1 3 6
Cartesian
0.000 0.000 0.000
0.000 0.000 3.721
-2.613 -1.492 2.481
2.598 -1.518 2.481
0.015 3.009 2.481
-1.573 -0.888 2.208
1.556 -0.918 2.208
0.017 1.807 2.208
-1.573 0.888 5.235
0.017 -1.807 5.235
1.556 0.918 5.235
```



7.
# Mg3CoGe
Theoretical powder X-ray diffraction pattern, a wavelength of 1.5418 Å. Input: the GGA-PBE geometry in Alexandria.
Peak positions follow from Bragg's law for the DFT cell and can differ from measured ones.

Peak list (6 most intense, 10° ≤ 2θ ≤ 90°, most intense first)
| 2theta | I_rel |
| --- | --- |
| 26.5 | 100.0 |
| 37.8 | 71.1 |
| 54.5 | 47.0 |
| 46.7 | 41.2 |
| 32.6 | 25.3 |
| 74.5 | 19.2 |

Atomic structure:
```
Mg3CoGe
1.0
4.763 0.000 0.000
0.000 4.763 0.000
0.000 0.000 4.763
Mg Co Ge
3 1 1
Cartesian
0.000 0.000 2.381
0.000 2.381 0.000
2.381 0.000 0.000
0.000 0.000 0.000
2.381 2.381 2.381
```



8.
# Pm5NdSmTm2
Theoretical powder X-ray diffraction pattern, a wavelength of 1.5418 Å. Input: the GGA-PBE geometry in Alexandria.
Peak positions follow from Bragg's law for the DFT cell and can differ from measured ones.

Peak list (6 most intense, 10° ≤ 2θ ≤ 90°, most intense first)
| 2theta | I_rel |
| --- | --- |
| 31.8 | 100.0 |
| 31.5 | 41.3 |
| 30.0 | 40.5 |
| 56.3 | 20.2 |
| 27.6 | 18.4 |
| 60.9 | 14.1 |

Atomic structure:
```
Pm5NdSmTm2
1.0
2.843 -10.175 0.000
2.843 10.175 0.000
0.000 0.000 10.636
Pm Nd Sm Tm
10 2 2 4
Cartesian
2.843 9.835 5.318
2.843 4.464 8.386
2.843 4.129 1.951
2.843 2.238 5.347
2.843 0.459 2.306
2.843 -0.459 7.624
2.843 -2.238 0.029
2.843 -4.129 7.269
2.843 -4.464 3.068
2.843 -9.835 0.000
2.843 1.755 9.855
2.843 -1.755 4.537
2.843 6.111 5.195
2.843 -6.111 10.513
2.843 7.892 2.251
2.843 7.807 8.491
2.843 -7.807 3.173
2.843 -7.892 7.569
```